Starting from a cell relaxed with GGA-PBE, the powder XRD pattern of La8IrRh3Cl4 was computed for CuKα.
Kinematic intensities with the Lorentz-polarization factor, no thermal factor.

Structural model:
Unit cell a=14.4135 b=8.3228 c=9.0589 alpha=90.00 beta=122.09 gamma=90.00
Space group C2/m (No. 12)
Symmetry-distinct sites (fractional):
La1 0.0145 0.2490 0.2952 (multiplicity 8)
La2 0.2345 0.0000 0.7048 (multiplicity 4)
La3 0.2351 0.5000 0.7047 (multiplicity 4)
Ir1 0.0000 0.0000 0.5000 (multiplicity 2)
Rh1 0.0000 0.5000 0.5000 (multiplicity 2)
Rh2 0.2500 0.2500 0.5000 (multiplicity 4)
Cl1 0.0000 0.0000 0.0000 (multiplicity 2)
Cl2 0.0000 0.5000 0.0000 (multiplicity 2)
Cl3 0.2500 0.2500 0.0000 (multiplicity 4)

Largest 6 diffraction maxima, in order of rising 2θ, 2θ from 5° to 70°:
hkl 0 0 1, 11.53 deg, rel. 45
hkl 4 0 0, 29.24 deg, rel. 100
hkl 2 2 -3, 37.00 deg, rel. 21
hkl 2 2 2, 40.10 deg, rel. 32
hkl 0 4 0, 43.50 deg, rel. 36
hkl 4 4 0, 53.27 deg, rel. 18



Starting from a cell relaxed with GGA-PBE, the powder XRD pattern of La8Ir3S4Cl was computed for CuKα.
Kinematic intensities with the Lorentz-polarization factor, no thermal factor.

Structural model:
Unit cell a=8.3085 b=8.3085 c=21.3045 alpha=90.00 beta=90.00 gamma=120.00
Space group R-3m (No. 166, hexagonal axes)
Symmetry-distinct sites (fractional):
La1 0.0000 0.0000 0.2452 (multiplicity 6)
La2 0.0120 0.5060 0.7516 (multiplicity 18)
Ir1 0.0000 0.5000 0.5000 (multiplicity 9)
S1 0.0000 0.0000 0.0000 (multiplicity 3)
S2 0.0000 0.5000 0.0000 (multiplicity 9)
Cl1 0.0000 0.0000 0.5000 (multiplicity 3)

Largest 6 diffraction maxima, in order of rising 2θ, 2θ from 5° to 70°:
hkl 0 0 3, 12.46 deg, rel. 20
hkl 0 2 4, 29.97 deg, rel. 100
hkl 2 0 8, 42.22 deg, rel. 39
hkl 2 2 0, 43.57 deg, rel. 35
hkl 4 0 4, 53.78 deg, rel. 21
hkl 2 2 12, 69.67 deg, rel. 17



Starting from a cell relaxed with GGA-PBE, the powder XRD pattern of La8SiIr3Cl4 was computed for CuKα.
Kinematic intensities with the Lorentz-polarization factor, no thermal factor.

Structural model:
Unit cell a=14.7555 b=8.5166 c=8.9600 alpha=90.00 beta=123.31 gamma=90.00
Space group C2/m (No. 12)
Symmetry-distinct sites (fractional):
La1 0.0161 0.2415 0.2917 (multiplicity 8)
La2 0.2367 0.0000 0.7096 (multiplicity 4)
La3 0.2414 0.5000 0.7062 (multiplicity 4)
Si1 0.0000 0.5000 0.5000 (multiplicity 2)
Ir1 0.0000 0.0000 0.5000 (multiplicity 2)
Ir2 0.2500 0.2500 0.5000 (multiplicity 4)
Cl1 0.0000 0.0000 0.0000 (multiplicity 2)
Cl2 0.0000 0.5000 0.0000 (multiplicity 2)
Cl3 0.2500 0.2500 0.0000 (multiplicity 4)

Largest 6 diffraction maxima, in order of rising 2θ, 2θ from 5° to 70°:
hkl 0 0 1, 11.82 deg, rel. 44
hkl 4 0 0, 28.96 deg, rel. 100
hkl 2 2 -3, 37.14 deg, rel. 19
hkl 2 2 2, 40.37 deg, rel. 32
hkl 0 4 0, 42.45 deg, rel. 37
hkl 4 4 0, 52.21 deg, rel. 19



Starting from a cell relaxed with GGA-PBE, the powder XRD pattern of LiIrCl6 was computed for CuKα.
Kinematic intensities with the Lorentz-polarization factor, no thermal factor.

Structural model:
Unit cell a=6.9308 b=11.2054 c=6.7722 alpha=90.00 beta=118.83 gamma=90.00
Space group C2/m (No. 12)
Symmetry-distinct sites (fractional):
Li1 0.0000 0.0000 0.0000 (multiplicity 2)
Ir1 0.0000 0.5000 0.5000 (multiplicity 2)
Cl1 0.1943 0.5000 0.3082 (multiplicity 4)
Cl2 0.2363 0.3539 0.7447 (multiplicity 8)

Largest 6 diffraction maxima, in order of rising 2θ, 2θ from 5° to 70°:
hkl 0 0 1, 14.93 deg, rel. 59
hkl 0 2 0, 15.82 deg, rel. 60
hkl 1 1 0, 16.61 deg, rel. 94
hkl 1 1 -1, 16.99 deg, rel. 100
hkl 0 2 1, 21.82 deg, rel. 46
hkl 1 3 1, 35.22 deg, rel. 49



Starting from a cell relaxed with GGA-PBE, the powder XRD pattern of NaLi2IrCl6 was computed for CuKα.
Kinematic intensities with the Lorentz-polarization factor, no thermal factor.

Structural model:
Unit cell a=6.4329 b=6.4329 c=17.7522 alpha=90.00 beta=90.00 gamma=120.00
Space group R3 (No. 146, hexagonal axes)
Symmetry-distinct sites (fractional):
Na1 0.0000 0.0000 0.0000 (multiplicity 3)
Li1 0.0000 0.0000 0.2925 (multiplicity 3)
Li2 0.0000 0.0000 0.8085 (multiplicity 3)
Ir1 0.0000 0.0000 0.4854 (multiplicity 3)
Cl1 0.0066 0.3135 0.5597 (multiplicity 9)
Cl2 0.0248 0.7211 0.4050 (multiplicity 9)

Largest 6 diffraction maxima, in order of rising 2θ, 2θ from 5° to 70°:
hkl 0 0 3, 14.97 deg, rel. 43
hkl 1 0 1, 16.68 deg, rel. 100
hkl 0 1 2, 18.81 deg, rel. 99
hkl 1 0 4, 25.66 deg, rel. 42
hkl 2 -1 3, 31.66 deg, rel. 64
hkl 2 -1 6, 41.47 deg, rel. 55



Starting from a cell relaxed with GGA-PBE, the powder XRD pattern of MgIrCl2 was computed for CuKα.
Kinematic intensities with the Lorentz-polarization factor, no thermal factor.

Structural model:
Unit cell a=3.2647 b=5.6848 c=9.2397 alpha=90.00 beta=90.00 gamma=90.00
Space group Cmm2 (No. 35)
Symmetry-distinct sites (fractional):
Mg1 0.0000 0.0000 0.0000 (multiplicity 2)
Ir1 0.0000 0.5000 0.7569 (multiplicity 2)
Cl1 0.0000 0.0000 0.5765 (multiplicity 2)
Cl2 0.0000 0.5000 0.1823 (multiplicity 2)

Largest 6 diffraction maxima, in order of rising 2θ, 2θ from 5° to 70°:
hkl 0 0 1, 9.57 deg, rel. 100
hkl 0 0 2, 19.21 deg, rel. 22
hkl 0 2 0, 31.47 deg, rel. 19
hkl 1 1 1, 33.09 deg, rel. 16
hkl 1 1 2, 37.25 deg, rel. 38
hkl 1 1 3, 43.40 deg, rel. 23



Starting from a cell relaxed with GGA-PBE, the powder XRD pattern of Mn2IrCl8 was computed for CuKα.
Kinematic intensities with the Lorentz-polarization factor, no thermal factor.

Structural model:
Unit cell a=14.5095 b=7.1492 c=6.1302 alpha=90.00 beta=90.81 gamma=90.00
Space group C2/m (No. 12)
Symmetry-distinct sites (fractional):
Mn1 0.1512 0.0000 0.4363 (multiplicity 4)
Ir1 0.0000 0.0000 0.0000 (multiplicity 2)
Cl1 0.0605 0.2274 0.2418 (multiplicity 8)
Cl2 0.1420 0.0000 0.8197 (multiplicity 4)
Cl3 0.1982 0.5000 0.6129 (multiplicity 4)

Largest 6 diffraction maxima, in order of rising 2θ, 2θ from 5° to 70°:
hkl 2 0 0, 12.20 deg, rel. 24
hkl 1 1 0, 13.81 deg, rel. 100
hkl 2 0 -1, 18.82 deg, rel. 28
hkl 1 1 -1, 19.98 deg, rel. 20
hkl 2 2 1, 31.57 deg, rel. 25
hkl 1 1 2, 32.46 deg, rel. 18



Starting from a cell relaxed with GGA-PBE, the powder XRD pattern of MnIrCl was computed for CuKα.
Kinematic intensities with the Lorentz-polarization factor, no thermal factor.

Structural model:
Unit cell a=3.1099 b=5.0370 c=13.2705 alpha=90.00 beta=90.00 gamma=90.00
Space group Fmm2 (No. 42)
Symmetry-distinct sites (fractional):
Mn1 0.0000 0.0000 0.0000 (multiplicity 4)
Ir1 0.0000 0.0000 0.3592 (multiplicity 4)
Cl1 0.0000 0.0000 0.6329 (multiplicity 4)

Largest 6 diffraction maxima, in order of rising 2θ, 2θ from 5° to 70°:
hkl 0 0 2, 13.34 deg, rel. 100
hkl 0 0 4, 26.87 deg, rel. 26
hkl 1 1 1, 34.56 deg, rel. 43
hkl 0 2 0, 35.65 deg, rel. 35
hkl 1 1 3, 39.69 deg, rel. 90
hkl 1 1 5, 48.58 deg, rel. 29



Copy entry 7 word for word.
Starting from a cell relaxed with GGA-PBE, the powder XRD pattern of Mn2IrCl8 was computed for CuKα.
Kinematic intensities with the Lorentz-polarization factor, no thermal factor.

Structural model:
Unit cell a=14.5095 b=7.1492 c=6.1302 alpha=90.00 beta=90.81 gamma=90.00
Space group C2/m (No. 12)
Symmetry-distinct sites (fractional):
Mn1 0.1512 0.0000 0.4363 (multiplicity 4)
Ir1 0.0000 0.0000 0.0000 (multiplicity 2)
Cl1 0.0605 0.2274 0.2418 (multiplicity 8)
Cl2 0.1420 0.0000 0.8197 (multiplicity 4)
Cl3 0.1982 0.5000 0.6129 (multiplicity 4)

Largest 6 diffraction maxima, in order of rising 2θ, 2θ from 5° to 70°:
hkl 2 0 0, 12.20 deg, rel. 24
hkl 1 1 0, 13.81 deg, rel. 100
hkl 2 0 -1, 18.82 deg, rel. 28
hkl 1 1 -1, 19.98 deg, rel. 20
hkl 2 2 1, 31.57 deg, rel. 25
hkl 1 1 2, 32.46 deg, rel. 18



What did the eighth record say?
Starting from a cell relaxed with GGA-PBE, the powder XRD pattern of MnIrCl was computed for CuKα.
Kinematic intensities with the Lorentz-polarization factor, no thermal factor.

Structural model:
Unit cell a=3.1099 b=5.0370 c=13.2705 alpha=90.00 beta=90.00 gamma=90.00
Space group Fmm2 (No. 42)
Symmetry-distinct sites (fractional):
Mn1 0.0000 0.0000 0.0000 (multiplicity 4)
Ir1 0.0000 0.0000 0.3592 (multiplicity 4)
Cl1 0.0000 0.0000 0.6329 (multiplicity 4)

Largest 6 diffraction maxima, in order of rising 2θ, 2θ from 5° to 70°:
hkl 0 0 2, 13.34 deg, rel. 100
hkl 0 0 4, 26.87 deg, rel. 26
hkl 1 1 1, 34.56 deg, rel. 43
hkl 0 2 0, 35.65 deg, rel. 35
hkl 1 1 3, 39.69 deg, rel. 90
hkl 1 1 5, 48.58 deg, rel. 29